Computed X-ray diffraction stick pattern
Compound: Cs2NiAuF6
Radiation: λ = 1.5418 Å (Cu Kα)
Structure: a cell relaxed with PBE+U

Atomic structure:
```
Cs2NiAuF6
1.0
-3.197 3.197 4.261
3.197 -3.197 4.261
3.197 3.197 -4.261
Cs Ni Au F
2 1 1 6
Direct
0.250 0.750 0.500
0.750 0.250 0.500
0.000 0.000 0.000
0.500 0.500 0.000
0.221 0.221 0.442
0.221 0.779 0.000
0.254 0.254 0.000
0.746 0.746 0.000
0.779 0.221 0.000
0.779 0.779 0.558
```

Principal peaks in the range 10° ≤ 2θ ≤ 90°, in order of falling intensity:
28.8°, 3.101 Å, I 100; 27.9°, 3.197 Å, I 55; 49.9°, 1.827 Å, I 42; 39.9°, 2.261 Å, I 35; 59.6°, 1.551 Å, I 20; 51.5°, 1.773 Å, I 20